This entry pairs a crystal structure of Ho5Ge4 with its computed powder diffraction line list. Radiation: copper Kα. Structure: a crystal structure in the Materials Project, relaxed with GGA-PBE.
Peak positions follow from Bragg's law for the DFT cell and can differ from measured ones.

Largest 6 diffraction maxima, in order of rising 2θ, 2θ from 10° to 90°:
d [Å], 2θ/deg, Rel. int., h k l
2.816, 31.78, 100, 1 3 2
2.804, 31.91, 36, 2 3 1
2.713, 33.02, 35, 2 0 2
2.659, 33.71, 44, 0 4 2
2.503, 35.88, 60, 2 4 1
2.403, 37.42, 51, 1 1 3

Cell and atoms:
abc: 7.636 14.687 7.712
angles: 90.00 90.00 90.00
Atoms (fractional coordinates):
Ho1 0.032 0.102 0.176
Ho2 0.032 0.398 0.176
Ho3 0.121 0.618 0.337
Ho4 0.121 0.882 0.337
Ho5 0.212 0.250 0.503
Ho6 0.288 0.750 0.003
Ho7 0.379 0.118 0.837
Ho8 0.379 0.382 0.837
Ho9 0.468 0.602 0.676
Ho10 0.468 0.898 0.676
Ho11 0.532 0.102 0.324
Ho12 0.532 0.398 0.324
Ho13 0.621 0.618 0.163
Ho14 0.621 0.882 0.163
Ho15 0.712 0.250 0.997
Ho16 0.788 0.750 0.497
Ho17 0.879 0.118 0.663
Ho18 0.879 0.382 0.663
Ho19 0.968 0.602 0.824
Ho20 0.968 0.898 0.824
Ge1 0.080 0.250 0.881
Ge2 0.165 0.750 0.639
Ge3 0.220 0.045 0.531
Ge4 0.220 0.455 0.531
Ge5 0.280 0.545 0.031
Ge6 0.280 0.955 0.031
Ge7 0.335 0.250 0.139
Ge8 0.420 0.750 0.381
Ge9 0.580 0.250 0.619
Ge10 0.665 0.750 0.861
Ge11 0.720 0.045 0.969
Ge12 0.720 0.455 0.969
Ge13 0.780 0.545 0.469
Ge14 0.780 0.955 0.469
Ge15 0.835 0.250 0.361
Ge16 0.920 0.750 0.119